Starting from DFT lattice parameters and positions (PBE), the powder X-ray diffraction pattern of BaBeV was computed for copper Kα.

Structure:
a b c (Å): 3.955 3.955 11.195
angles (deg): 100.43 100.43 60.56
Fractional coordinates of all 6 atoms:
Ba: 0.229 0.229 0.182
Ba: 0.771 0.771 0.818
Be: 0.336 0.336 0.504
Be: 0.664 0.664 0.496
V: 0.031 0.031 0.591
V: 0.969 0.969 0.409

Peak list (10 most intense, 5° ≤ 2θ ≤ 70°, sorted by position)
2theta  d [Å]  I (rel.)
16.20  5.473  28.4
24.40  3.649  53.7
26.42  3.373  36.9
28.12  3.173  100.0
28.23  3.161  48.2
29.24  3.055  55.6
29.55  3.023  25.1
32.30  2.771  51.1
39.90  2.260  46.1
45.89  1.978  42.5